The following is a theoretical powder diffraction line list of Mg17As6O32. It was derived from a structure optimized by DFT (PBE), using a wavelength of 1.5418 Å.
No peak broadening, texture or thermal motion is included.

Atomic structure:
```
Mg17As6O32
1.0
9.956 0.000 0.000
0.000 6.124 0.000
-3.728 0.000 9.845
Mg As O
17 6 32
Direct
0.000 0.000 0.000
0.001 0.260 0.739
0.001 0.740 0.739
0.255 0.259 0.504
0.255 0.741 0.504
0.264 0.000 0.754
0.265 0.247 0.005
0.265 0.753 0.005
0.269 0.500 0.258
0.731 0.500 0.742
0.735 0.247 0.995
0.735 0.753 0.995
0.736 0.000 0.246
0.745 0.259 0.496
0.745 0.741 0.496
0.999 0.260 0.261
0.999 0.740 0.261
0.000 0.000 0.500
0.000 0.500 0.000
0.422 0.500 0.807
0.424 0.000 0.311
0.576 0.000 0.689
0.578 0.500 0.193
0.116 0.000 0.391
0.116 0.282 0.110
0.116 0.500 0.892
0.116 0.718 0.110
0.120 0.208 0.615
0.120 0.792 0.615
0.133 0.000 0.880
0.142 0.500 0.368
0.367 0.000 0.135
0.368 0.231 0.367
0.368 0.269 0.867
0.368 0.731 0.867
0.368 0.769 0.367
0.370 0.500 0.635
0.387 0.000 0.628
0.388 0.500 0.128
0.612 0.500 0.872
0.613 0.000 0.372
0.630 0.500 0.365
0.632 0.231 0.633
0.632 0.269 0.133
0.632 0.731 0.133
0.632 0.769 0.633
0.633 0.000 0.865
0.858 0.500 0.632
0.867 0.000 0.120
0.880 0.208 0.385
0.880 0.792 0.385
0.884 0.000 0.609
0.884 0.282 0.890
0.884 0.500 0.108
0.884 0.718 0.890
```

Largest 10 diffraction maxima, sorted by position, 10° ≤ 2θ ≤ 90°:
Position (°2θ)	Rel. int.	h k l
17.1	85	0 1 1
23.1	100	2 1 -1
23.2	38	1 0 2
29.3	28	1 1 -3
35.2	46	1 1 3
36.4	31	3 1 1
37.6	43	1 2 2
42.9	45	2 2 2
60.8	44	2 2 -6
63.8	36	6 2 -2